Record 1
This entry pairs a crystal structure of Ba7Al4Ge9 with its simulated PXRD pattern. Radiation: Cu Kα, 1.54184 Å. Structure: a crystal structure in the Materials Project, relaxed with GGA-PBE.

Atomic structure:
Unit cell a=13.7320 b=6.8016 c=14.0203 alpha=73.47 beta=28.35 gamma=78.18
Element x y z (fractional)
Ba  0.0000  0.0000  0.0000
Ba  0.3356  0.9911  0.4583
Ba  0.4163  0.4163  0.0837
Ba  0.5417  0.7850  0.6644
Ba  0.7850  0.5417  0.0089
Ba  0.9163  0.9163  0.5837
Ba  0.9911  0.3356  0.2150
Al  0.3102  0.4311  0.5689
Al  0.3605  0.9594  0.0406
Al  0.4311  0.3102  0.6898
Al  0.9594  0.3605  0.6395
Ge  0.0724  0.7829  0.2171
Ge  0.1990  0.5839  0.8010
Ge  0.2548  0.5660  0.4340
Ge  0.4731  0.8788  0.1212
Ge  0.5660  0.2548  0.7452
Ge  0.5839  0.1990  0.4161
Ge  0.6108  0.6108  0.3892
Ge  0.7829  0.0724  0.9276
Ge  0.8788  0.4731  0.5269

The 6 most intense peaks (2θ = 10–90°), in order of falling intensity:
2θ 30.0, I 100
2θ 26.7, I 51
2θ 27.5, I 36
2θ 34.4, I 35
2θ 40.3, I 25
2θ 54.0, I 21

***

Record 2
This entry pairs a crystal structure of MgTiSnP3O12 with its simulated PXRD pattern. Radiation: Cu Kα, 1.54184 Å. Structure: a crystal structure in the Materials Project, relaxed with GGA-PBE.

Atomic structure:
Unit cell a=8.6494 b=8.6494 c=8.6387 alpha=119.09 beta=119.09 gamma=60.88
Element x y z (fractional)
Mg  0.2500  0.7500  0.5000
Mg  0.7500  0.2500  0.0000
Ti  0.3897  0.8900  0.3603
Ti  0.8900  0.3897  0.8603
Sn  0.1003  0.6003  0.6497
Sn  0.6003  0.1003  0.1497
P  0.1961  0.9949  0.9578
P  0.2922  0.4949  0.0540
P  0.4949  0.2922  0.5540
P  0.6962  0.7920  0.7552
P  0.7920  0.6962  0.2552
P  0.9949  0.1961  0.4578
O  0.0039  0.1545  0.9446
O  0.0563  0.3513  0.4880
O  0.1366  0.4283  0.0086
O  0.1545  0.0039  0.4446
O  0.1824  0.8365  0.7602
O  0.2415  0.9282  0.1136
O  0.2621  0.5564  0.8987
O  0.3055  0.6544  0.2462
O  0.3365  0.4898  0.5676
O  0.3513  0.0563  0.9880
O  0.4283  0.1366  0.5086
O  0.4898  0.3365  0.0676
O  0.5038  0.8055  0.5955
O  0.5564  0.2621  0.3987
O  0.6368  0.7413  0.3217
O  0.6544  0.3055  0.7462
O  0.6824  0.9898  0.9135
O  0.7413  0.6368  0.8217
O  0.7621  0.8513  0.1936
O  0.8055  0.5038  0.0955
O  0.8365  0.1824  0.2602
O  0.8513  0.7621  0.6936
O  0.9282  0.2415  0.6136
O  0.9898  0.6824  0.4135

The 6 most intense peaks (2θ = 10–90°), in order of falling intensity:
2θ 23.9, I 100
2θ 20.3, I 97
2θ 32.7, I 79
2θ 20.5, I 71
2θ 35.5, I 49
2θ 14.4, I 47

***

Record 3
This entry pairs a crystal structure of CsTb2Ag3Se5 with its simulated PXRD pattern. Radiation: Cu Kα, 1.54184 Å. Structure: a crystal structure in the Materials Project, relaxed with GGA-PBE.

Atomic structure:
Unit cell a=8.1236 b=8.1236 c=17.6379 alpha=90.00 beta=90.00 gamma=149.09
Element x y z (fractional)
Cs  0.0617  0.9383  0.7500
Cs  0.9383  0.0617  0.2500
Tb  0.1928  0.8072  0.0951
Tb  0.1928  0.8072  0.4049
Tb  0.8072  0.1928  0.5951
Tb  0.8072  0.1928  0.9049
Ag  0.3436  0.6564  0.7500
Ag  0.4171  0.5829  0.0417
Ag  0.4171  0.5829  0.4583
Ag  0.5829  0.4171  0.5417
Ag  0.5829  0.4171  0.9583
Ag  0.6564  0.3436  0.2500
Se  0.1816  0.8184  0.5696
Se  0.1816  0.8184  0.9304
Se  0.2526  0.7474  0.2500
Se  0.4307  0.5693  0.6158
Se  0.4307  0.5693  0.8842
Se  0.5693  0.4307  0.1158
Se  0.5693  0.4307  0.3842
Se  0.7474  0.2526  0.7500
Se  0.8184  0.1816  0.0696
Se  0.8184  0.1816  0.4304

The 6 most intense peaks (2θ = 10–90°), in order of falling intensity:
2θ 45.1, I 100
2θ 28.6, I 97
2θ 30.4, I 95
2θ 41.7, I 87
2θ 27.2, I 86
2θ 33.7, I 86

***

Record 4
This entry pairs a crystal structure of NdSi2Pt2 with its simulated PXRD pattern. Radiation: Cu Kα, 1.54184 Å. Structure: a crystal structure in the Materials Project, relaxed with GGA-PBE.

Atomic structure:
Unit cell a=4.2687 b=4.2687 c=9.8842 alpha=90.00 beta=90.00 gamma=90.00
Element x y z (fractional)
Nd  0.2500  0.2500  0.2449
Nd  0.7500  0.7500  0.7551
Si  0.2500  0.2500  0.6330
Si  0.2500  0.7500  0.0000
Si  0.7500  0.2500  0.0000
Si  0.7500  0.7500  0.3670
Pt  0.2500  0.2500  0.8793
Pt  0.2500  0.7500  0.5000
Pt  0.7500  0.2500  0.5000
Pt  0.7500  0.7500  0.1207

The 6 most intense peaks (2θ = 10–90°), in order of falling intensity:
2θ 34.8, I 100
2θ 31.0, I 88
2θ 42.3, I 79
2θ 34.4, I 77
2θ 50.9, I 43
2θ 55.6, I 39